This entry pairs a crystal structure of VPO5 with its simulated XRD peak list. Radiation: Cu Kα (weighted mean of Kα1 and Kα2). Structure: a PBE+U-relaxed structure.

Principal peaks in the range 15 to 90 degrees two-theta, sorted by position:
hkl	2θ (°)	Rel. int.
2 0 0	18.84	29.3
2 1 0	21.09	32.8
2 0 1	21.43	100.0
2 1 1	23.44	49.4
2 0 2	27.85	97.8
2 1 2	29.45	28.4
2 2 2	33.84	21.5
4 1 1	40.83	17.1
3 2 3	46.70	18.2
4 0 3	49.79	16.0
4 2 4	61.11	17.9
6 0 2	62.91	12.0

Structure:
```
data_VPO5
_chemical_formula_sum 'V8 P8 O40'
_symmetry_space_group_name_H-M 'P 42/m b c'
_symmetry_Int_Tables_number 135
_symmetry_space_group_name_Hall '-P 4c 2ab'
_cell_length_a 9.418
_cell_length_b 9.418
_cell_length_c 8.742
_cell_angle_alpha 90.00
_cell_angle_beta 90.00
_cell_angle_gamma 90.00
loop_
_atom_site_label
_atom_site_fract_x
_atom_site_fract_y
_atom_site_fract_z
V1 0.085 0.250 0.000
P1 0.000 0.000 0.250
P2 0.000 0.500 0.250
O1 0.004 0.635 0.150
O2 0.086 0.104 0.150
O3 0.196 0.254 0.500
```